Pr3Ho3ScS8: computed X-ray diffraction stick pattern (Cu Kα (weighted mean of Kα1 and Kα2)), based on a structure optimized by DFT (GGA-PBE).
Peak positions follow from Bragg's law for the DFT cell and can differ from measured ones.

Atomic structure:
Unit cell a=8.0053 b=8.0053 c=8.0053 alpha=58.84 beta=58.84 gamma=58.84
Element x y z (fractional)
Pr  0.0000  0.5000  0.5000
Pr  0.5000  0.0000  0.5000
Pr  0.5000  0.5000  0.0000
Ho  0.0000  0.0000  0.5000
Ho  0.0000  0.5000  0.0000
Ho  0.5000  0.0000  0.0000
Sc  0.5000  0.5000  0.5000
S  0.2434  0.2434  0.2434
S  0.2489  0.7386  0.7386
S  0.2614  0.2614  0.7511
S  0.2614  0.7511  0.2614
S  0.7386  0.2489  0.7386
S  0.7386  0.7386  0.2489
S  0.7511  0.2614  0.2614
S  0.7566  0.7566  0.7566

The 12 most intense peaks (2θ from 15° to 90°), by angle:
15.8 deg, I = 24
27.0 deg, I = 16
27.7 deg, I = 45
31.9 deg, I = 100
45.3 deg, I = 36
46.2 deg, I = 35
54.3 deg, I = 16
57.2 deg, I = 18
66.7 deg, I = 11
75.2 deg, I = 15
76.5 deg, I = 15
84.9 deg, I = 12